Entry 1:
Structure and computed powder XRD pattern of Th2UMnC4 (the PBE geometry in Alexandria; λ = 1.5418 Å (Cu Kα)).
Neutral-atom scattering factors, no anomalous dispersion.

Largest 10 diffraction maxima, by angle, 2θ = 5–70°:
| 2θ/deg | Rel. int. |
| --- | --- |
| 26.34 | 905 |
| 28.61 | 328 |
| 30.31 | 1000 |
| 30.73 | 456 |
| 35.31 | 358 |
| 37.52 | 575 |
| 45.33 | 352 |
| 49.23 | 250 |
| 50.74 | 268 |
| 52.06 | 303 |

Unit cell a=6.076 b=6.076 c=12.479 alpha=90.00 beta=90.00 gamma=146.59
Fractional coordinates of all 16 atoms:
Th1 0.137 0.863 0.547
Th2 0.137 0.863 0.953
Th3 0.863 0.137 0.047
Th4 0.863 0.137 0.453
U1 0.404 0.596 0.750
U2 0.596 0.404 0.250
Mn1 0.330 0.670 0.250
Mn2 0.670 0.330 0.750
C1 0.075 0.925 0.750
C2 0.215 0.785 0.148
C3 0.215 0.785 0.352
C4 0.500 0.500 0.000
C5 0.500 0.500 0.500
C6 0.785 0.215 0.648
C7 0.785 0.215 0.852
C8 0.925 0.075 0.250


Entry 2:
Structure and computed powder XRD pattern of KTl2Cd2 (the PBE geometry in Alexandria; λ = 1.5418 Å (Cu Kα)).
Neutral-atom scattering factors, no anomalous dispersion.

Largest 10 diffraction maxima, by angle, 2θ = 5–70°:
| 2θ/deg | Rel. int. |
| --- | --- |
| 13.46 | 335 |
| 21.36 | 97 |
| 30.39 | 420 |
| 33.20 | 1000 |
| 38.72 | 179 |
| 41.17 | 144 |
| 43.37 | 115 |
| 47.78 | 94 |
| 59.53 | 279 |
| 61.01 | 112 |

Unit cell a=9.303 b=9.303 c=3.546 alpha=90.00 beta=90.00 gamma=90.00
Fractional coordinates of all 10 atoms:
K1 0.000 0.000 0.000
K2 0.500 0.500 0.000
Tl1 0.141 0.359 0.000
Tl2 0.359 0.859 0.000
Tl3 0.641 0.141 0.000
Tl4 0.859 0.641 0.000
Cd1 0.154 0.654 0.500
Cd2 0.346 0.154 0.500
Cd3 0.654 0.846 0.500
Cd4 0.846 0.346 0.500